Starting from a cell relaxed with GGA-PBE, the powder X-ray diffraction pattern of CeNdN2 was simulated for Cu Ka.
No peak broadening, texture or thermal motion is included.

Main lines, sorted by position (10° ≤ 2θ ≤ 90°):
2θ = 30.34°, rel. 100; 2θ = 35.17°, rel. 75; 2θ = 50.59°, rel. 52; 2θ = 60.14°, rel. 46; 2θ = 63.11°, rel. 17; 2θ = 74.35°, rel. 8; 2θ = 82.37°, rel. 19; 2θ = 85.00°, rel. 23

Structural model:
```
CeNdN2
1.0
1.8046 1.0419 5.8900
-1.8046 1.0419 5.8900
0.0000 -2.0838 5.8900
Ce Nd N
1 1 2
direct
0.0000 0.0000 0.0000
0.5000 0.5000 0.5000
0.2559 0.2559 0.2559
0.7441 0.7441 0.7441
```



Starting from a cell relaxed with GGA-PBE, the powder X-ray diffraction pattern of In was simulated for Cu Ka.
No peak broadening, texture or thermal motion is included.

Main lines, sorted by position (10° ≤ 2θ ≤ 90°):
2θ = 31.19°, rel. 37; 2θ = 31.71°, rel. 72; 2θ = 34.12°, rel. 100; 2θ = 35.78°, rel. 91; 2θ = 42.31°, rel. 14; 2θ = 55.11°, rel. 35; 2θ = 56.90°, rel. 21; 2θ = 60.23°, rel. 20; 2θ = 64.99°, rel. 43; 2θ = 66.43°, rel. 14

Structural model:
```
In
1.0
1.6664 0.9621 8.4695
-1.6664 0.9621 8.4695
0.0000 -1.9242 8.4695
In
3
direct
0.0000 0.0000 0.0000
0.2217 0.2217 0.2217
0.7783 0.7783 0.7783
```



Starting from a cell relaxed with GGA-PBE, the powder X-ray diffraction pattern of TiZnSnO4 was simulated for Cu Ka.
No peak broadening, texture or thermal motion is included.

Main lines, sorted by position (10° ≤ 2θ ≤ 90°):
2θ = 19.08°, rel. 31; 2θ = 21.35°, rel. 36; 2θ = 22.11°, rel. 54; 2θ = 27.14°, rel. 100; 2θ = 29.34°, rel. 37; 2θ = 33.32°, rel. 99; 2θ = 34.82°, rel. 34; 2θ = 43.49°, rel. 32; 2θ = 55.87°, rel. 27; 2θ = 59.55°, rel. 26

Structural model:
```
TiZnSnO4
1.0
9.3138 0.0000 0.0000
-4.6569 8.0660 0.0000
0.0000 0.0000 9.2725
Ti Zn Sn O
6 6 6 24
direct
0.0169 0.6913 0.0000
0.3087 0.3256 0.0000
0.3256 0.0169 0.5000
0.6744 0.9831 0.0000
0.6913 0.6744 0.5000
0.9831 0.3087 0.5000
0.0233 0.6682 0.6234
0.3318 0.3551 0.6234
0.3551 0.0233 0.1234
0.6449 0.9767 0.6234
0.6682 0.6449 0.1234
0.9767 0.3318 0.1234
0.0000 0.0000 0.2443
0.0000 0.0000 0.7443
0.3333 0.6667 0.3686
0.3333 0.6667 0.9046
0.6667 0.3333 0.4046
0.6667 0.3333 0.8686
0.1015 0.7423 0.8208
0.1062 0.8859 0.1069
0.1068 0.5633 0.0596
0.1141 0.2203 0.1069
0.2131 0.4398 0.4983
0.2203 0.1062 0.6069
0.2268 0.7869 0.4983
0.2577 0.3592 0.8208
0.3592 0.1015 0.3208
0.4367 0.5435 0.0596
0.4398 0.2268 0.9983
0.4565 0.8932 0.0596
0.5435 0.1068 0.5596
0.5602 0.7732 0.4983
0.5633 0.4565 0.5596
0.6408 0.8985 0.8208
0.7423 0.6408 0.3208
0.7732 0.2131 0.9983
0.7797 0.8938 0.1069
0.7869 0.5602 0.9983
0.8859 0.7797 0.6069
0.8932 0.4367 0.5596
0.8938 0.1141 0.6069
0.8985 0.2577 0.3208
```